Diffraction record for NiMo2AsPb. The XRD peak list is calculated, not measured: it uses a crystal structure in Alexandria, relaxed with PBE and Cu Ka.
Peak positions follow from Bragg's law for the DFT cell and can differ from measured ones.

Largest 10 diffraction maxima, in order of falling intensity, 2θ from 15° to 90°:
- 2θ 34.02, I 1000
- 2θ 16.83, I 982
- 2θ 48.88, I 711
- 2θ 38.18, I 532
- 2θ 23.88, I 525
- 2θ 52.05, I 255
- 2θ 41.98, I 249
- 2θ 60.89, I 243
- 2θ 81.65, I 214
- 2θ 29.35, I 125

```
NiMo2AsPb
1.0
5.2751 0.0000 0.0000
0.0000 5.2751 0.0000
0.0000 0.0000 5.2616
Ni Mo As Pb
1 2 1 1
Direct
0.0000 0.0000 0.0000
0.0000 0.5000 0.5000
0.5000 0.0000 0.5000
0.5000 0.5000 0.0000
0.5000 0.5000 0.5000
```